Theoretical powder diffraction line list
Compound: NbZnTc3
Radiation: Cu Kα (λ = 1.5418 Å)
Structure: a cell relaxed with PBE
Peak positions follow from Bragg's law for the DFT cell and can differ from measured ones.

Largest 10 diffraction maxima, by angle, 2θ = 10–80°:
2θ/deg	Rel. int.
19.9	17
28.3	11
34.9	98
40.5	100
45.5	8
50.1	4
58.6	65
62.5	3
70.0	37
73.6	22

Lattice parameters (Å, degrees): 4.457 4.457 4.457 90.00 90.00 90.00
Space group Pm-3m (No. 221)
Unique sites:
Nb1 0.000 0.000 0.000 x1
Zn1 0.500 0.500 0.500 x1
Tc1 0.000 0.500 0.500 x3

Theoretical powder diffraction line list
Compound: ZrNb2Tc
Radiation: Cu Kα (λ = 1.5418 Å)
Structure: a cell relaxed with PBE
Peak positions follow from Bragg's law for the DFT cell and can differ from measured ones.

Largest 10 diffraction maxima, by angle, 2θ = 10–80°:
2θ/deg	Rel. int.
37.4	26
38.6	100
39.2	25
51.4	1
55.3	16
56.1	8
68.2	16
69.4	8
70.6	24
79.6	3

Lattice parameters (Å, degrees): 10.665 3.278 4.596 90.00 115.45 90.00
Space group C2/m (No. 12)
Unique sites:
Zr1 0.000 0.000 0.000 x2
Nb1 0.235 0.000 0.735 x4
Tc1 0.000 0.500 0.500 x2

Copy entry 2 word for word.
Theoretical powder diffraction line list
Compound: ZrNb2Tc
Radiation: Cu Kα (λ = 1.5418 Å)
Structure: a cell relaxed with PBE
Peak positions follow from Bragg's law for the DFT cell and can differ from measured ones.

Largest 10 diffraction maxima, by angle, 2θ = 10–80°:
2θ/deg	Rel. int.
37.4	26
38.6	100
39.2	25
51.4	1
55.3	16
56.1	8
68.2	16
69.4	8
70.6	24
79.6	3

Lattice parameters (Å, degrees): 10.665 3.278 4.596 90.00 115.45 90.00
Space group C2/m (No. 12)
Unique sites:
Zr1 0.000 0.000 0.000 x2
Nb1 0.235 0.000 0.735 x4
Tc1 0.000 0.500 0.500 x2